# 1
# Dy12ZrNi6
Theoretical X-ray powder pattern, Cu Kα X-rays. Input: a DFT-relaxed cell (GGA-PBE, Alexandria).
Intensities are scaled so that the largest is 100.

Structural model:
Lattice parameters (Å, degrees): 8.432 8.432 8.432 109.47 109.47 109.47
Positions (direct):
Dy1 0.121 0.816 0.304
Dy2 0.184 0.304 0.488
Dy3 0.184 0.696 0.879
Dy4 0.304 0.121 0.816
Dy5 0.304 0.488 0.184
Dy6 0.488 0.184 0.304
Dy7 0.512 0.816 0.696
Dy8 0.696 0.512 0.816
Dy9 0.696 0.879 0.184
Dy10 0.816 0.304 0.121
Dy11 0.816 0.696 0.512
Dy12 0.879 0.184 0.696
Zr1 0.000 0.000 0.000
Ni1 0.124 0.624 0.500
Ni2 0.376 0.500 0.876
Ni3 0.500 0.124 0.624
Ni4 0.500 0.876 0.376
Ni5 0.624 0.500 0.124
Ni6 0.876 0.376 0.500

Principal peaks in the range 10 to 90 degrees two-theta, in order of falling intensity:
- d 2.602, 34.5 deg, rel. 100
- d 3.079, 29.0 deg, rel. 45
- d 1.670, 55.0 deg, rel. 36
- d 2.811, 31.8 deg, rel. 34
- d 1.579, 58.4 deg, rel. 33
- d 1.909, 47.6 deg, rel. 19
- d 1.132, 85.9 deg, rel. 16
- d 1.377, 68.1 deg, rel. 16
- d 1.147, 84.4 deg, rel. 15
- d 1.623, 56.7 deg, rel. 14

=====

# 2
# ErSc3Zn2
Theoretical X-ray powder pattern, Cu Kα X-rays. Input: a DFT-relaxed cell (GGA-PBE, Alexandria).
Intensities are scaled so that the largest is 100.

Structural model:
Lattice parameters (Å, degrees): 4.722 8.567 6.467 90.00 90.00 90.00
Positions (direct):
Er1 0.000 0.053 0.000
Er2 0.000 0.947 0.500
Sc1 0.000 0.330 0.652
Sc2 0.000 0.670 0.152
Sc3 0.500 0.187 0.314
Sc4 0.500 0.447 0.961
Sc5 0.500 0.553 0.461
Sc6 0.500 0.813 0.814
Zn1 0.000 0.355 0.217
Zn2 0.000 0.645 0.717
Zn3 0.500 0.150 0.745
Zn4 0.500 0.850 0.245

Principal peaks in the range 10 to 90 degrees two-theta, in order of falling intensity:
- d 2.547, 35.2 deg, rel. 100
- d 2.443, 36.8 deg, rel. 55
- d 8.567, 10.3 deg, rel. 53
- d 2.361, 38.1 deg, rel. 44
- d 2.849, 31.4 deg, rel. 36
- d 2.581, 34.8 deg, rel. 31
- d 2.668, 33.6 deg, rel. 23
- d 2.612, 34.3 deg, rel. 21
- d 4.722, 18.8 deg, rel. 19
- d 1.742, 52.5 deg, rel. 18

=====

# 3
# LiMg5Hg2
Theoretical X-ray powder pattern, Cu Kα X-rays. Input: a DFT-relaxed cell (GGA-PBE, Alexandria).
Intensities are scaled so that the largest is 100.

Structural model:
Lattice parameters (Å, degrees): 4.841 4.841 17.703 90.00 90.00 120.00
Positions (direct):
Li1 0.333 0.667 0.250
Li2 0.667 0.333 0.750
Mg1 0.000 0.000 0.158
Mg2 0.000 0.000 0.342
Mg3 0.000 0.000 0.658
Mg4 0.000 0.000 0.842
Mg5 0.333 0.667 0.558
Mg6 0.333 0.667 0.750
Mg7 0.333 0.667 0.942
Mg8 0.667 0.333 0.058
Mg9 0.667 0.333 0.250
Mg10 0.667 0.333 0.442
Hg1 0.333 0.667 0.103
Hg2 0.333 0.667 0.397
Hg3 0.667 0.333 0.603
Hg4 0.667 0.333 0.897

Principal peaks in the range 10 to 90 degrees two-theta, in order of falling intensity:
- d 3.418, 26.1 deg, rel. 100
- d 2.421, 37.1 deg, rel. 63
- d 4.080, 21.8 deg, rel. 51
- d 2.165, 41.7 deg, rel. 39
- d 4.426, 20.1 deg, rel. 39
- d 2.124, 42.6 deg, rel. 35
- d 4.192, 21.2 deg, rel. 32
- d 2.413, 37.3 deg, rel. 23
- d 1.975, 45.9 deg, rel. 23
- d 1.871, 48.7 deg, rel. 20